Computed X-ray diffraction stick pattern
Compound: Li6CrNiP2C2O14
Radiation: Cu Kα
Structure: a GGA+U-relaxed structure

Most intense lines, 5 to 70 degrees two-theta, in order of rising 2θ:
d [Å]  I (rel.)
8.534  89
4.122  64
3.411  33
3.212  100
2.454  35
2.224  34

```
data_Li6CrNiP2C2O14
_chemical_formula_sum 'Li6 Cr1 Ni1 P2 C2 O14'
_space_group_name_H-M_alt 'P 1 m 1'
_space_group_IT_number 6
_cell_length_a 4.9985
_cell_length_b 6.4243
_cell_length_c 8.5768
_cell_angle_alpha 90.00
_cell_angle_beta 95.73
_cell_angle_gamma 90.00
loop_
_space_group_symop_operation_xyz
'x,y,z'
'x,-y,z'
loop_
_atom_site_label
_atom_site_fract_x
_atom_site_fract_y
_atom_site_fract_z
_atom_site_occupancy
Li1 0.0000 0.0000 0.0000 1
Li2 0.0717 0.2690 0.6234 1
Li3 0.5185 0.2341 0.1663 1
Li4 0.5972 0.5000 0.7830 1
Cr1 0.9985 0.5000 0.2293 1
Ni1 0.5939 0.0000 0.5624 1
P1 0.0649 0.0000 0.3093 1
P2 0.5325 0.5000 0.4871 1
C1 0.1205 0.5000 0.9315 1
C2 0.4772 0.0000 0.8498 1
O1 0.2096 0.5000 0.7949 1
O2 0.2211 0.5000 0.4771 1
O3 0.2904 0.5000 0.0596 1
O4 0.2999 0.0000 0.7262 1
O5 0.3793 0.0000 0.3303 1
O6 0.4009 0.0000 0.9904 1
O7 0.6208 0.5000 0.3193 1
O8 0.6481 0.3114 0.5867 1
O9 0.7277 0.0000 0.8246 1
O10 0.8680 0.5000 0.9477 1
O11 0.9583 0.1861 0.2036 1
O12 0.9614 0.0000 0.4717 1
```